# 1
Computed powder diffractogram
Compound: Cr4As3
Radiation: a wavelength of 1.5418 Å
Structure: a PBE-relaxed structure

Structural model:
```
data_Cr4As3
_cell_length_a 13.0193
_cell_length_b 3.5725
_cell_length_c 9.3252
_cell_angle_alpha 90.00
_cell_angle_beta 103.65
_cell_angle_gamma 90.00
_symmetry_space_group_name_H-M 'C 1 2/m 1'
_symmetry_Int_Tables_number 12
_symmetry_space_group_name_Hall '-C 2y'
loop_
_atom_site_label
_atom_site_type_symbol
_atom_site_fract_x
_atom_site_fract_y
_atom_site_fract_z
_atom_site_occupancy
Cr1 Cr 0.0000 0.0000 0.0000 1
Cr2 Cr 0.0000 0.0000 0.5000 1
Cr3 Cr 0.0667 0.5000 0.2027 1
Cr4 Cr 0.1476 0.5000 0.9464 1
Cr5 Cr 0.2174 0.0000 0.6661 1
As1 As 0.0620 0.0000 0.7712 1
As2 As 0.1395 0.5000 0.4799 1
As3 As 0.1890 0.0000 0.1498 1
```

The 6 most intense peaks (10° ≤ 2θ ≤ 80°), in order of falling intensity:
(3 1 -4), d 1.890, rel. 100.0; (3 1 2), d 2.193, rel. 78.0; (1 1 2), d 2.658, rel. 72.0; (3 1 -1), d 2.727, rel. 59.3; (6 0 -2), d 2.112, rel. 57.3; (0 2 0), d 1.786, rel. 53.3


# 2
Computed powder diffractogram
Compound: EuCr2As2
Radiation: a wavelength of 1.5418 Å
Structure: a PBE-relaxed structure

Structural model:
```
data_EuCr2As2
_cell_length_a 4.0334
_cell_length_b 4.0334
_cell_length_c 11.9165
_cell_angle_alpha 90.00
_cell_angle_beta 90.00
_cell_angle_gamma 90.00
_symmetry_space_group_name_H-M 'I 4/m m m'
_symmetry_Int_Tables_number 139
_symmetry_space_group_name_Hall '-I 4 2'
loop_
_atom_site_label
_atom_site_type_symbol
_atom_site_fract_x
_atom_site_fract_y
_atom_site_fract_z
_atom_site_occupancy
Eu1 Eu 0.0000 0.0000 0.0000 1
Cr1 Cr 0.0000 0.5000 0.2500 1
As1 As 0.0000 0.0000 0.3658 1
```

The 6 most intense peaks (10° ≤ 2θ ≤ 80°), in order of falling intensity:
(1 0 3), d 2.830, rel. 100.0; (1 1 2), d 2.573, rel. 58.0; (2 0 0), d 2.017, rel. 40.8; (2 1 3), d 1.642, rel. 38.9; (1 0 5), d 2.052, rel. 26.0; (1 1 0), d 2.852, rel. 25.8


# 3
Computed powder diffractogram
Compound: CrFeAs
Radiation: a wavelength of 1.5418 Å
Structure: a PBE-relaxed structure

Structural model:
```
data_CrFeAs
_cell_length_a 6.0693
_cell_length_b 6.0693
_cell_length_c 3.6840
_cell_angle_alpha 90.00
_cell_angle_beta 90.00
_cell_angle_gamma 120.00
_symmetry_space_group_name_H-M 'P -6 2 m'
_symmetry_Int_Tables_number 189
_symmetry_space_group_name_Hall 'P -6 -2'
loop_
_atom_site_label
_atom_site_type_symbol
_atom_site_fract_x
_atom_site_fract_y
_atom_site_fract_z
_atom_site_occupancy
Cr1 Cr 0.0000 0.5874 0.0000 1
Fe1 Fe 0.0000 0.2465 0.5000 1
As1 As 0.0000 0.0000 0.0000 1
As2 As 0.3333 0.6667 0.5000 1
```

The 6 most intense peaks (10° ≤ 2θ ≤ 80°), in order of falling intensity:
(2 0 1), d 2.139, rel. 100.0; (1 1 1), d 2.342, rel. 73.8; (2 1 1), d 1.749, rel. 44.4; (2 1 0), d 1.987, rel. 34.0; (0 0 2), d 1.842, rel. 33.2; (3 0 0), d 1.752, rel. 31.4


# 4
Computed powder diffractogram
Compound: Cr3Fe3GeAs2
Radiation: a wavelength of 1.5418 Å
Structure: a PBE-relaxed structure

Structural model:
```
data_Cr3Fe3GeAs2
_cell_length_a 6.0130
_cell_length_b 6.0130
_cell_length_c 3.7686
_cell_angle_alpha 90.00
_cell_angle_beta 90.00
_cell_angle_gamma 120.00
_symmetry_space_group_name_H-M 'P -6 2 m'
_symmetry_Int_Tables_number 189
_symmetry_space_group_name_Hall 'P -6 -2'
loop_
_atom_site_label
_atom_site_type_symbol
_atom_site_fract_x
_atom_site_fract_y
_atom_site_fract_z
_atom_site_occupancy
Cr1 Cr 0.0000 0.5793 0.0000 1
Fe1 Fe 0.0000 0.2452 0.5000 1
Ge1 Ge 0.0000 0.0000 0.0000 1
As1 As 0.3333 0.6667 0.5000 1
```

The 6 most intense peaks (10° ≤ 2θ ≤ 80°), in order of falling intensity:
(2 0 1), d 2.142, rel. 100.0; (1 1 1), d 2.350, rel. 66.4; (2 1 1), d 1.745, rel. 39.8; (0 0 2), d 1.884, rel. 33.9; (2 1 0), d 1.968, rel. 32.4; (3 0 0), d 1.736, rel. 25.5


# 5
Computed powder diffractogram
Compound: Mn2CrAs3
Radiation: a wavelength of 1.5418 Å
Structure: a PBE-relaxed structure

Structural model:
```
data_Mn2CrAs3
_cell_length_a 5.5729
_cell_length_b 3.4345
_cell_length_c 18.2703
_cell_angle_alpha 90.00
_cell_angle_beta 90.12
_cell_angle_gamma 90.00
_symmetry_space_group_name_H-M 'P 1 m 1'
_symmetry_Int_Tables_number 6
_symmetry_space_group_name_Hall 'P -2y'
loop_
_atom_site_label
_atom_site_type_symbol
_atom_site_fract_x
_atom_site_fract_y
_atom_site_fract_z
_atom_site_occupancy
Mn1 Mn 0.0000 0.0000 0.0000 1
Mn2 Mn 0.0000 0.0000 0.3314 1
Mn3 Mn 0.0054 0.5000 0.5360 1
Mn4 Mn 0.0058 0.5000 0.2038 1
Mn5 Mn 0.4995 0.0000 0.7016 1
Mn6 Mn 0.5008 0.0000 0.0360 1
Mn7 Mn 0.5007 0.0000 0.3696 1
Mn8 Mn 0.9993 0.0000 0.6634 1
Cr1 Cr 0.0075 0.5000 0.8687 1
Cr2 Cr 0.5064 0.5000 0.1656 1
Cr3 Cr 0.5067 0.5000 0.4979 1
Cr4 Cr 0.5069 0.5000 0.8319 1
As1 As 0.2016 0.5000 0.0738 1
As2 As 0.2024 0.5000 0.4064 1
As3 As 0.2032 0.5000 0.7397 1
As4 As 0.3023 0.0000 0.2406 1
As5 As 0.3028 0.0000 0.5725 1
As6 As 0.3025 0.0000 0.9077 1
As7 As 0.7014 0.5000 0.2943 1
As8 As 0.7011 0.5000 0.6265 1
As9 As 0.7039 0.5000 0.9612 1
As10 As 0.8014 0.0000 0.7931 1
As11 As 0.8061 0.0000 0.4598 1
As12 As 0.8069 0.0000 0.1272 1
```

The 6 most intense peaks (10° ≤ 2θ ≤ 80°), in order of falling intensity:
(1 1 3), d 2.636, rel. 100.0; (2 1 3), d 2.039, rel. 75.2; (1 0 6), d 2.672, rel. 50.3; (0 1 9), d 1.748, rel. 37.3; (2 0 -6), d 2.056, rel. 32.5; (0 2 0), d 1.717, rel. 28.2


# 6
Computed powder diffractogram
Compound: CrMoAs2
Radiation: a wavelength of 1.5418 Å
Structure: a PBE-relaxed structure

Structural model:
```
data_CrMoAs2
_cell_length_a 3.4064
_cell_length_b 6.3641
_cell_length_c 5.9046
_cell_angle_alpha 90.00
_cell_angle_beta 90.00
_cell_angle_gamma 90.00
_symmetry_space_group_name_H-M 'P m c 21'
_symmetry_Int_Tables_number 26
_symmetry_space_group_name_Hall 'P 2c -2'
loop_
_atom_site_label
_atom_site_type_symbol
_atom_site_fract_x
_atom_site_fract_y
_atom_site_fract_z
_atom_site_occupancy
Cr1 Cr 0.0000 0.0633 0.0000 1
Mo1 Mo 0.5000 0.4437 0.9900 1
As1 As 0.0000 0.3124 0.6887 1
As2 As 0.5000 0.1683 0.3005 1
```

The 6 most intense peaks (10° ≤ 2θ ≤ 80°), in order of falling intensity:
(0 2 2), d 2.164, rel. 100.0; (1 1 1), d 2.677, rel. 92.2; (1 1 2), d 2.105, rel. 90.2; (0 2 1), d 2.801, rel. 40.7; (1 3 0), d 1.801, rel. 34.8; (2 0 0), d 1.703, rel. 28.7


# 7
Computed powder diffractogram
Compound: Cr3AsN
Radiation: a wavelength of 1.5418 Å
Structure: a PBE-relaxed structure

Structural model:
```
data_Cr3AsN
_cell_length_a 5.3396
_cell_length_b 5.3396
_cell_length_c 7.9168
_cell_angle_alpha 90.00
_cell_angle_beta 90.00
_cell_angle_gamma 90.00
_symmetry_space_group_name_H-M 'I 4/m c m'
_symmetry_Int_Tables_number 140
_symmetry_space_group_name_Hall '-I 4 2c'
loop_
_atom_site_label
_atom_site_type_symbol
_atom_site_fract_x
_atom_site_fract_y
_atom_site_fract_z
_atom_site_occupancy
Cr1 Cr 0.0000 0.0000 0.2500 1
Cr2 Cr 0.1839 0.3161 0.0000 1
As1 As 0.0000 0.5000 0.2500 1
N1 N 0.0000 0.0000 0.0000 1
```

The 6 most intense peaks (10° ≤ 2θ ≤ 80°), in order of falling intensity:
(2 0 2), d 2.213, rel. 100.0; (2 1 1), d 2.286, rel. 31.9; (2 2 0), d 1.888, rel. 30.3; (0 0 4), d 1.979, rel. 30.1; (2 2 4), d 1.366, rel. 19.0; (2 1 3), d 1.771, rel. 13.4


# 8
Computed powder diffractogram
Compound: Cr5NiAs3
Radiation: a wavelength of 1.5418 Å
Structure: a PBE-relaxed structure

Structural model:
```
data_Cr5NiAs3
_cell_length_a 3.6482
_cell_length_b 11.1376
_cell_length_c 6.2820
_cell_angle_alpha 90.00
_cell_angle_beta 90.00
_cell_angle_gamma 90.00
_symmetry_space_group_name_H-M 'A m m 2'
_symmetry_Int_Tables_number 38
_symmetry_space_group_name_Hall 'A 2 -2'
loop_
_atom_site_label
_atom_site_type_symbol
_atom_site_fract_x
_atom_site_fract_y
_atom_site_fract_z
_atom_site_occupancy
Cr1 Cr 0.0000 0.0000 0.0000 1
Cr2 Cr 0.0000 0.2069 0.3999 1
Cr3 Cr 0.5000 0.1235 0.7244 1
Ni1 Ni 0.5000 0.0000 0.3435 1
As1 As 0.0000 0.0000 0.5847 1
As2 As 0.5000 0.1656 0.1040 1
```

The 6 most intense peaks (10° ≤ 2θ ≤ 80°), in order of falling intensity:
(1 2 2), d 2.189, rel. 100.0; (2 0 0), d 1.824, rel. 86.0; (1 3 1), d 2.404, rel. 74.1; (1 4 0), d 2.213, rel. 50.4; (1 0 2), d 2.380, rel. 47.1; (1 5 1), d 1.820, rel. 24.2


# 9
Computed powder diffractogram
Compound: CrNiAs
Radiation: a wavelength of 1.5418 Å
Structure: a PBE-relaxed structure

Structural model:
```
data_CrNiAs
_cell_length_a 6.2194
_cell_length_b 6.2194
_cell_length_c 3.6237
_cell_angle_alpha 90.00
_cell_angle_beta 90.00
_cell_angle_gamma 120.00
_symmetry_space_group_name_H-M 'P -6 2 m'
_symmetry_Int_Tables_number 189
_symmetry_space_group_name_Hall 'P -6 -2'
loop_
_atom_site_label
_atom_site_type_symbol
_atom_site_fract_x
_atom_site_fract_y
_atom_site_fract_z
_atom_site_occupancy
Cr1 Cr 0.0000 0.5951 0.0000 1
Ni1 Ni 0.0000 0.2551 0.5000 1
As1 As 0.0000 0.0000 0.0000 1
As2 As 0.3333 0.6667 0.5000 1
```

The 6 most intense peaks (10° ≤ 2θ ≤ 80°), in order of falling intensity:
(2 0 1), d 2.161, rel. 100.0; (1 1 1), d 2.360, rel. 88.1; (2 1 1), d 1.775, rel. 48.7; (3 0 0), d 1.795, rel. 42.3; (2 1 0), d 2.036, rel. 37.4; (0 0 2), d 1.812, rel. 33.3


# 10
Computed powder diffractogram
Compound: CrAsPd
Radiation: a wavelength of 1.5418 Å
Structure: a PBE-relaxed structure

Structural model:
```
data_CrAsPd
_cell_length_a 6.6957
_cell_length_b 6.6957
_cell_length_c 3.6688
_cell_angle_alpha 90.00
_cell_angle_beta 90.00
_cell_angle_gamma 120.00
_symmetry_space_group_name_H-M 'P -6 2 m'
_symmetry_Int_Tables_number 189
_symmetry_space_group_name_Hall 'P -6 -2'
loop_
_atom_site_label
_atom_site_type_symbol
_atom_site_fract_x
_atom_site_fract_y
_atom_site_fract_z
_atom_site_occupancy
Cr1 Cr 0.0000 0.6034 0.0000 1
As1 As 0.0000 0.0000 0.0000 1
As2 As 0.3333 0.6667 0.5000 1
Pd1 Pd 0.0000 0.2671 0.5000 1
```

The 6 most intense peaks (10° ≤ 2θ ≤ 80°), in order of falling intensity:
(1 1 1), d 2.473, rel. 100.0; (2 0 1), d 2.275, rel. 71.5; (3 0 0), d 1.933, rel. 47.0; (2 1 1), d 1.882, rel. 46.4; (2 1 0), d 2.192, rel. 40.8; (3 0 2), d 1.331, rel. 32.0


# 11
Computed powder diffractogram
Compound: CrAsRh
Radiation: a wavelength of 1.5418 Å
Structure: a PBE-relaxed structure

Structural model:
```
data_CrAsRh
_cell_length_a 6.5048
_cell_length_b 6.5048
_cell_length_c 3.7377
_cell_angle_alpha 90.00
_cell_angle_beta 90.00
_cell_angle_gamma 120.00
_symmetry_space_group_name_H-M 'P -6 2 m'
_symmetry_Int_Tables_number 189
_symmetry_space_group_name_Hall 'P -6 -2'
loop_
_atom_site_label
_atom_site_type_symbol
_atom_site_fract_x
_atom_site_fract_y
_atom_site_fract_z
_atom_site_occupancy
Cr1 Cr 0.0000 0.4075 0.0000 1
As1 As 0.0000 0.0000 0.0000 1
As2 As 0.3333 0.6667 0.5000 1
Rh1 Rh 0.0000 0.7452 0.5000 1
```

The 6 most intense peaks (10° ≤ 2θ ≤ 80°), in order of falling intensity:
(1 1 1), d 2.454, rel. 100.0; (2 0 1), d 2.249, rel. 91.3; (2 1 1), d 1.850, rel. 59.7; (2 1 0), d 2.129, rel. 54.4; (3 0 0), d 1.878, rel. 37.7; (0 0 2), d 1.869, rel. 33.7


# 12
Computed powder diffractogram
Compound: Cr3SbAs2
Radiation: a wavelength of 1.5418 Å
Structure: a PBE-relaxed structure

Structural model:
```
data_Cr3SbAs2
_cell_length_a 8.6968
_cell_length_b 3.6976
_cell_length_c 13.3003
_cell_angle_alpha 90.00
_cell_angle_beta 102.81
_cell_angle_gamma 90.00
_symmetry_space_group_name_H-M 'P 1 m 1'
_symmetry_Int_Tables_number 6
_symmetry_space_group_name_Hall 'P -2y'
loop_
_atom_site_label
_atom_site_type_symbol
_atom_site_fract_x
_atom_site_fract_y
_atom_site_fract_z
_atom_site_occupancy
Cr1 Cr 0.0000 0.0000 0.0000 1
Cr2 Cr 0.0242 0.5000 0.5083 1
Cr3 Cr 0.1374 0.5000 0.3256 1
Cr4 Cr 0.2012 0.0000 0.8543 1
Cr5 Cr 0.3214 0.0000 0.6603 1
Cr6 Cr 0.3566 0.5000 0.1743 1
Cr7 Cr 0.4685 0.5000 0.9918 1
Cr8 Cr 0.5284 0.0000 0.5139 1
Cr9 Cr 0.6677 0.0000 0.3317 1
Cr10 Cr 0.7054 0.5000 0.8559 1
Cr11 Cr 0.8124 0.5000 0.6571 1
Cr12 Cr 0.8685 0.0000 0.1888 1
Sb1 Sb 0.0240 0.0000 0.6579 1
Sb2 Sb 0.3564 0.0000 0.3214 1
Sb3 Sb 0.6322 0.0000 0.7147 1
Sb4 Sb 0.6904 0.0000 0.9969 1
As1 As 0.0441 0.5000 0.1359 1
As2 As 0.3022 0.0000 0.0433 1
As3 As 0.3197 0.5000 0.5217 1
As4 As 0.3785 0.5000 0.8016 1
As5 As 0.6559 0.5000 0.1904 1
As6 As 0.7110 0.5000 0.4682 1
As7 As 0.9692 0.0000 0.3774 1
As8 As 0.9934 0.5000 0.8580 1
```

The 6 most intense peaks (10° ≤ 2θ ≤ 80°), in order of falling intensity:
(0 1 3), d 2.810, rel. 100.0; (3 1 -3), d 2.154, rel. 66.4; (3 0 0), d 2.827, rel. 50.3; (3 1 3), d 1.863, rel. 44.3; (0 0 6), d 2.162, rel. 31.1; (0 2 0), d 1.849, rel. 24.4


# 13
Computed powder diffractogram
Compound: Cr2SbAs
Radiation: a wavelength of 1.5418 Å
Structure: a PBE-relaxed structure

Structural model:
```
data_Cr2SbAs
_cell_length_a 3.7881
_cell_length_b 6.5930
_cell_length_c 5.8202
_cell_angle_alpha 90.00
_cell_angle_beta 90.00
_cell_angle_gamma 90.00
_symmetry_space_group_name_H-M 'P m c 21'
_symmetry_Int_Tables_number 26
_symmetry_space_group_name_Hall 'P 2c -2'
loop_
_atom_site_label
_atom_site_type_symbol
_atom_site_fract_x
_atom_site_fract_y
_atom_site_fract_z
_atom_site_occupancy
Cr1 Cr 0.0000 0.0294 0.0000 1
Cr2 Cr 0.5000 0.4581 0.9971 1
Sb1 Sb 0.0000 0.3330 0.7050 1
As1 As 0.5000 0.1656 0.2727 1
```

The 6 most intense peaks (10° ≤ 2θ ≤ 80°), in order of falling intensity:
(1 1 1), d 2.863, rel. 100.0; (1 1 2), d 2.179, rel. 58.7; (1 3 0), d 1.901, rel. 27.6; (2 0 0), d 1.894, rel. 17.4; (0 2 3), d 1.671, rel. 13.6; (2 2 1), d 1.581, rel. 10.9